The following is a simulated PXRD pattern of NiH4I2O8. It was derived from a cell relaxed with GGA+U, using Cu Kα (λ = 1.5418 Å).
Kinematic intensities with the Lorentz-polarization factor, no thermal factor.

Atomic structure:
a = 6.8771 Å, b = 9.1837 Å, c = 12.3009 Å
α = 90.00°, β = 90.00°, γ = 90.00°
Space group Pbca (No. 61)
Asymmetric unit:
Ni  0.0000  0.0000  0.0000 (multiplicity 4)
H  0.2295  0.1022  0.1511 (multiplicity 8)
H  0.2366  0.0692  0.6498 (multiplicity 8)
I  0.2214  0.7262  0.8647 (multiplicity 8)
O  0.0593  0.2088  0.9490 (multiplicity 8)
O  0.1725  0.2246  0.7282 (multiplicity 8)
O  0.1819  0.5769  0.3770 (multiplicity 8)
O  0.2395  0.0168  0.1027 (multiplicity 8)

Largest 8 diffraction maxima, by angle, 2θ from 15° to 90°:
2theta	Rel. int.	h k l
17.7	23	1 1 1
19.4	100	1 0 2
25.9	18	2 0 0
27.5	74	1 2 2
32.5	21	2 2 0
35.1	14	0 2 4
39.3	38	2 0 4
44.1	13	1 4 2